Starting from the PBE geometry in the Materials Project, the powder XRD pattern of SmSi2Rh2 was simulated for Cu Kα (weighted mean of Kα1 and Kα2).

The 10 most intense peaks (5 to 70 degrees two-theta), low angle first:
2θ/deg, I (rel.)
23.44, 26
34.47, 30
35.52, 18
35.74, 100
44.24, 36
50.33, 11
57.25, 14
57.97, 17
63.92, 18
64.35, 12

Cell and atoms:
a b c (Å): 5.8256 5.8256 5.8256
angles (deg): 138.85 138.85 59.61
Positions (direct):
Sm1 0.0000 0.0000 0.0000
Si1 0.3768 0.3768 0.0000
Si2 0.6232 0.6232 0.0000
Rh1 0.2500 0.7500 0.5000
Rh2 0.7500 0.2500 0.5000